# 1
For LaPd2O4, a cell relaxed with PBE gives the computed X-ray powder pattern in this record (λ = 1.5418 Å (Cu Kα)).

Structure:
Cell: 9.2991 9.2991 9.2991 Å, 90.00 90.00 90.00°
Space group Fd-3m (No. 227, origin choice 2)
Unique sites:
La: 0.1250 0.1250 0.1250
Pd: 0.0000 0.0000 0.5000
O: 0.0177 0.0177 0.7323

Largest 12 diffraction maxima, in order of falling intensity, 2θ = 10–90°:
- 2θ 31.92, rel. 100, (3 1 1)
- 2θ 51.03, rel. 40, (5 1 1)
- 2θ 55.93, rel. 39, (4 4 0)
- 2θ 27.12, rel. 37, (2 2 0)
- 2θ 79.11, rel. 21, (5 5 3)
- 2θ 33.38, rel. 17, (2 2 2)
- 2θ 47.92, rel. 14, (4 2 2)
- 2θ 65.86, rel. 13, (5 3 3)
- 2θ 66.72, rel. 9, (6 2 2)
- 2θ 76.69, rel. 8, (6 4 2)
- 2θ 38.73, rel. 7, (4 0 0)
- 2θ 63.25, rel. 6, (6 2 0)

# 2
For LaPr3O7, a cell relaxed with PBE gives the computed X-ray powder pattern in this record (λ = 1.5418 Å (Cu Kα)).

Structure:
Cell: 8.2746 3.6809 11.3840 Å, 90.00 90.00 90.00°
Space group Amm2 (No. 38)
Unique sites:
La: 0.0000 0.0000 0.0000
Pr: 0.2402 0.0000 0.7268
Pr: 0.5000 0.0000 0.0132
O: 0.0000 0.0000 0.3523
O: 0.0000 0.0000 0.6275
O: 0.2471 0.0000 0.1000
O: 0.4079 0.0000 0.3642
O: 0.5000 0.0000 0.6420

Largest 12 diffraction maxima, in order of falling intensity, 2θ = 10–90°:
- 2θ 26.64, rel. 100, (2 0 2)
- 2θ 33.93, rel. 60, (0 1 3)
- 2θ 33.52, rel. 52, (2 1 1)
- 2θ 25.43, rel. 39, (0 1 1)
- 2θ 52.16, rel. 37, (2 1 5)
- 2θ 40.51, rel. 26, (2 1 3)
- 2θ 57.11, rel. 24, (2 2 2)
- 2θ 56.50, rel. 21, (4 1 3)
- 2θ 31.43, rel. 19, (0 0 4)
- 2θ 43.76, rel. 17, (4 0 0)
- 2θ 51.29, rel. 15, (4 1 1)
- 2θ 49.53, rel. 14, (0 2 0)